(1)
The following is a computed X-ray diffraction stick pattern of NaCaGdWO6. It was derived from the GGA+U geometry in the Materials Project, using Cu Ka.
Neutral-atom scattering factors, no anomalous dispersion.

The 10 most intense peaks (10° ≤ 2θ ≤ 90°), by angle:
| 2θ/deg | d/Å | intensity | index |
| --- | --- | --- | --- |
| 21.2 | 4.184 | 80.6 | 2 0 0 |
| 30.2 | 2.958 | 100.0 | 2 2 0 |
| 37.2 | 2.416 | 8.4 | 2 2 2 |
| 43.2 | 2.092 | 33.2 | 4 0 0 |
| 48.7 | 1.871 | 35.2 | 4 2 0 |
| 53.7 | 1.708 | 40.2 | 4 2 2 |
| 62.8 | 1.479 | 20.2 | 4 4 0 |
| 67.1 | 1.395 | 16.7 | 6 0 0 |
| 71.3 | 1.323 | 18.0 | 6 2 0 |
| 87.2 | 1.118 | 21.5 | 6 4 2 |

Atomic structure:
```
data_NaCaGdWO6
_space_group_name_H-M_alt 'F -4 3 m'
_space_group_IT_number 216
_space_group_name_Hall 'F -4 2 3'
_cell_length_a 8.368
_cell_length_b 8.368
_cell_length_c 8.368
_cell_angle_alpha 90.00
_cell_angle_beta 90.00
_cell_angle_gamma 90.00
loop_
_atom_site_label
_atom_site_type_symbol
_atom_site_fract_x
_atom_site_fract_y
_atom_site_fract_z
Na1 Na 0.000 0.000 0.000
Ca1 Ca 0.000 0.000 0.500
Gd1 Gd 0.250 0.250 0.250
W1 W 0.250 0.250 0.750
O1 O 0.018 0.250 0.750
```

(2)
The following is a computed X-ray diffraction stick pattern of CaMnGe2O6. It was derived from the GGA+U geometry in the Materials Project, using Cu Ka.
Neutral-atom scattering factors, no anomalous dispersion.

The 10 most intense peaks (10° ≤ 2θ ≤ 90°), by angle:
| 2θ/deg | d/Å | intensity | index |
| --- | --- | --- | --- |
| 25.4 | 3.509 | 17.0 | 0 2 1 |
| 28.3 | 3.158 | 29.6 | 3 1 0 |
| 28.5 | 3.128 | 70.1 | 2 2 -1 |
| 29.3 | 3.051 | 12.0 | 3 1 -1 |
| 33.4 | 2.680 | 100.0 | 0 0 2 |
| 53.4 | 1.717 | 14.4 | 5 3 -1 |
| 53.7 | 1.706 | 17.1 | 2 2 -3 |
| 58.4 | 1.581 | 11.3 | 1 3 -3 |
| 60.9 | 1.522 | 14.1 | 5 3 1 |
| 70.2 | 1.340 | 10.5 | 0 0 4 |

Atomic structure:
```
data_CaMnGe2O6
_space_group_name_H-M_alt 'C 1 2/c 1'
_space_group_IT_number 15
_cell_length_a 10.401
_cell_length_b 9.286
_cell_length_c 5.534
_cell_angle_alpha 90.00
_cell_angle_beta 104.41
_cell_angle_gamma 90.00
loop_
_space_group_symop_operation_xyz
'x,y,z'
'-x,-y,-z'
'-x,y,-z+1/2'
'x,-y,z+1/2'
'x+1/2,y+1/2,z'
'-x+1/2,-y+1/2,-z'
'-x+1/2,y+1/2,-z+1/2'
'x+1/2,-y+1/2,z+1/2'
loop_
_atom_site_label
_atom_site_type_symbol
_atom_site_fract_x
_atom_site_fract_y
_atom_site_fract_z
Ca1 Ca 0.000 0.197 0.250
Mn1 Mn 0.000 0.408 0.750
Ge1 Ge 0.213 0.097 0.770
O1 O 0.113 0.405 0.142
O2 O 0.133 0.254 0.649
O3 O 0.143 0.033 0.021
```

(3)
The following is a computed X-ray diffraction stick pattern of CaMnGe2O6. It was derived from the GGA+U geometry in the Materials Project, using Cu Ka.
Neutral-atom scattering factors, no anomalous dispersion.

The 10 most intense peaks (10° ≤ 2θ ≤ 90°), by angle:
| 2θ/deg | d/Å | intensity | index |
| --- | --- | --- | --- |
| 19.5 | 4.547 | 27.0 | 0 1 1 |
| 28.2 | 3.164 | 47.1 | 3 1 0 |
| 28.5 | 3.127 | 100.0 | 1 2 1 |
| 29.2 | 3.057 | 31.5 | 2 1 1 |
| 33.5 | 2.671 | 56.2 | 0 3 1 |
| 33.8 | 2.652 | 73.6 | 3 2 -1 |
| 34.5 | 2.598 | 28.8 | 2 0 -2 |
| 53.1 | 1.725 | 25.5 | 4 3 1 |
| 59.7 | 1.550 | 26.9 | 2 3 -3 |
| 63.4 | 1.468 | 25.5 | 1 5 2 |

Atomic structure:
```
data_CaMnGe2O6
_space_group_name_H-M_alt 'P 1 21/c 1'
_space_group_IT_number 14
_cell_length_a 10.431
_cell_length_b 9.336
_cell_length_c 5.384
_cell_angle_alpha 90.00
_cell_angle_beta 104.71
_cell_angle_gamma 90.00
loop_
_space_group_symop_operation_xyz
'x,y,z'
'-x,-y,-z'
'-x,y+1/2,-z+1/2'
'x,-y+1/2,z+1/2'
loop_
_atom_site_label
_atom_site_type_symbol
_atom_site_fract_x
_atom_site_fract_y
_atom_site_fract_z
Ca1 Ca 0.228 0.051 0.026
Mn1 Mn 0.263 0.659 0.033
Ge1 Ge 0.019 0.149 0.388
Ge2 Ge 0.457 0.154 0.679
O1 O 0.087 0.519 0.843
O2 O 0.106 0.241 0.678
O3 O 0.145 0.667 0.303
O4 O 0.364 0.015 0.747
O5 O 0.369 0.649 0.740
O6 O 0.401 0.192 0.336
```

(4)
The following is a computed X-ray diffraction stick pattern of CaV4Ge4O16. It was derived from the GGA+U geometry in the Materials Project, using Cu Ka.
Neutral-atom scattering factors, no anomalous dispersion.

The 10 most intense peaks (10° ≤ 2θ ≤ 90°), by angle:
| 2θ/deg | d/Å | intensity | index |
| --- | --- | --- | --- |
| 16.3 | 5.427 | 30.8 | 0 1 0 |
| 17.8 | 4.978 | 34.9 | 0 1 -1 |
| 19.8 | 4.485 | 28.4 | 1 0 1 |
| 24.2 | 3.682 | 64.2 | 1 -1 1 |
| 26.7 | 3.338 | 44.5 | 1 1 -1 |
| 27.3 | 3.269 | 100.0 | 1 1 1 |
| 27.7 | 3.224 | 51.1 | 1 -1 2 |
| 29.5 | 3.028 | 62.9 | 1 0 -3 |
| 33.3 | 2.688 | 36.1 | -1 1 3 |
| 40.3 | 2.239 | 31.0 | 1 1 -4 |

Atomic structure:
```
data_CaV4Ge4O16
_space_group_name_H-M_alt 'P 1'
_space_group_IT_number 1
_cell_length_a 4.948
_cell_length_b 5.467
_cell_length_c 11.392
_cell_angle_alpha 92.26
_cell_angle_beta 90.70
_cell_angle_gamma 96.53
loop_
_space_group_symop_operation_xyz
'x,y,z'
loop_
_atom_site_label
_atom_site_type_symbol
_atom_site_fract_x
_atom_site_fract_y
_atom_site_fract_z
Ca1 Ca 0.000 0.000 0.000
V1 V 0.031 0.290 0.457
V2 V 0.060 0.775 0.335
V3 V 0.389 0.883 0.789
V4 V 0.567 0.374 0.945
Ge1 Ge 0.148 0.553 0.104
Ge2 Ge 0.490 0.328 0.256
Ge3 Ge 0.584 0.723 0.552
Ge4 Ge 0.908 0.271 0.707
O1 O 0.136 0.116 0.811
O2 O 0.150 0.201 0.591
O3 O 0.272 0.134 0.348
O4 O 0.281 0.616 0.454
O5 O 0.309 0.632 0.966
O6 O 0.330 0.644 0.680
O7 O 0.352 0.248 0.107
O8 O 0.370 0.623 0.236
O9 O 0.607 0.028 0.904
O10 O 0.656 0.998 0.668
O11 O 0.776 0.461 0.569
O12 O 0.787 0.480 0.812
O13 O 0.800 0.912 0.441
O14 O 0.817 0.399 0.323
O15 O 0.851 0.356 0.062
O16 O 0.967 0.800 0.166
```

(5)
The following is a computed X-ray diffraction stick pattern of CaVGe4O12. It was derived from the GGA+U geometry in the Materials Project, using Cu Ka.
Neutral-atom scattering factors, no anomalous dispersion.

The 10 most intense peaks (10° ≤ 2θ ≤ 90°), by angle:
| 2θ/deg | d/Å | intensity | index |
| --- | --- | --- | --- |
| 20.9 | 4.251 | 64.2 | 1 1 1 |
| 22.9 | 3.883 | 61.1 | 0 2 0 |
| 23.3 | 3.811 | 71.8 | 2 0 0 |
| 26.2 | 3.406 | 52.8 | 0 0 2 |
| 32.9 | 2.720 | 97.7 | 2 2 0 |
| 35.0 | 2.561 | 100.0 | 0 2 2 |
| 35.3 | 2.540 | 58.7 | 2 0 2 |
| 47.7 | 1.905 | 40.8 | 4 0 0 |
| 60.0 | 1.542 | 50.5 | 2 4 2 |
| 60.6 | 1.529 | 44.1 | 4 2 2 |

Atomic structure:
```
data_CaVGe4O12
_space_group_name_H-M_alt 'A m m 2'
_space_group_IT_number 38
_cell_length_a 7.622
_cell_length_b 7.766
_cell_length_c 6.812
_cell_angle_alpha 90.00
_cell_angle_beta 90.00
_cell_angle_gamma 90.00
loop_
_space_group_symop_operation_xyz
'x,y,z'
'-x,-y,z'
'-x,y,z'
'x,-y,z'
'x,y+1/2,z+1/2'
'-x,-y+1/2,z+1/2'
'-x,y+1/2,z+1/2'
'x,-y+1/2,z+1/2'
loop_
_atom_site_label
_atom_site_type_symbol
_atom_site_fract_x
_atom_site_fract_y
_atom_site_fract_z
Ca1 Ca 0.000 0.000 0.000
V1 V 0.500 0.000 0.563
Ge1 Ge 0.238 0.243 0.755
O1 O 0.000 0.204 0.272
O2 O 0.233 0.000 0.677
O3 O 0.253 0.172 0.008
O4 O 0.338 0.000 0.348
O5 O 0.500 0.189 0.709
```